Calculated PXRD pattern
Compound: Ba2Dy2Co4O11
Radiation: λ = 1.5418 Å (Cu Kα)
Structure: a crystal structure in Alexandria, relaxed with GGA+U
Kinematic intensities with the Lorentz-polarization factor, no thermal factor.

```
Ba2Dy2Co4O11
1.0
3.9219 0.0000 0.0000
0.0000 7.6941 0.0000
0.0000 0.0000 7.8153
Ba Dy Co O
2 2 4 11
Direct
0.0000 0.0000 0.2495
0.0000 0.0000 0.7505
0.0000 0.5000 0.2277
0.0000 0.5000 0.7723
0.5000 0.2549 0.0000
0.5000 0.2601 0.5000
0.5000 0.7399 0.5000
0.5000 0.7451 0.0000
0.0000 0.2802 0.0000
0.0000 0.3159 0.5000
0.0000 0.6841 0.5000
0.0000 0.7198 0.0000
0.5000 0.0000 0.0000
0.5000 0.0000 0.5000
0.5000 0.3037 0.2693
0.5000 0.3037 0.7307
0.5000 0.5000 0.0000
0.5000 0.6963 0.2693
0.5000 0.6963 0.7307
```

The 10 most intense peaks (15 to 90 degrees two-theta), sorted by position:
3.915 Å, 2θ 22.71, intensity 14.9, (1 0 0)
2.768 Å, 2θ 32.34, intensity 46.3, (1 0 2)
2.744 Å, 2θ 32.63, intensity 100.0, (1 2 0)
2.247 Å, 2θ 40.13, intensity 21.0, (1 2 2)
1.961 Å, 2θ 46.30, intensity 15.4, (2 0 0)
1.954 Å, 2θ 46.48, intensity 13.6, (0 0 4)
1.924 Å, 2θ 47.25, intensity 11.9, (0 4 0)
1.595 Å, 2θ 57.81, intensity 19.1, (2 2 2)
1.592 Å, 2θ 57.92, intensity 16.8, (1 2 4)
1.580 Å, 2θ 58.42, intensity 20.8, (1 4 2)